Structure and calculated XRD peak list of Sm3HfAs4 (a cell relaxed with GGA-PBE; copper Kα).
Kinematic intensities with the Lorentz-polarization factor, no thermal factor.

Most intense lines, 2θ from 15° to 90°, low angle first:
2θ = 26.58°, I = 22
2θ = 30.78°, I = 100
2θ = 43.97°, I = 12
2θ = 44.11°, I = 62
2θ = 54.66°, I = 13
2θ = 54.81°, I = 13
2θ = 64.06°, I = 8
2θ = 72.81°, I = 16
2θ = 72.90°, I = 11
2θ = 81.16°, I = 12

Cell and atoms:
abc: 8.2375 11.6008 4.1036
angles: 90.00 90.00 90.00
Space group Cmmm (No. 65)
One atom of each set of equivalent atoms:
Sm 0.0000 0.0000 0.0000 x2
Sm 0.2500 0.2500 0.5000 x4
Hf 0.0000 0.5000 0.0000 x2
As 0.0000 0.2595 0.0000 x4
As 0.2326 0.5000 0.5000 x4

=====

Structure and calculated XRD peak list of YThPb2 (a cell relaxed with GGA-PBE; copper Kα).
Kinematic intensities with the Lorentz-polarization factor, no thermal factor.

Most intense lines, 2θ from 15° to 90°, low angle first:
2θ = 31.76°, I = 100
2θ = 35.34°, I = 38
2θ = 39.69°, I = 16
2θ = 50.84°, I = 14
2θ = 54.18°, I = 23
2θ = 61.20°, I = 32
2θ = 66.36°, I = 13
2θ = 67.10°, I = 12
2θ = 85.50°, I = 8
2θ = 88.82°, I = 12

Cell and atoms:
abc: 5.0795 5.0795 4.5412
angles: 90.00 90.00 90.00
Space group P4/mmm (No. 123)
One atom of each set of equivalent atoms:
Y 0.0000 0.0000 0.0000 x1
Th 0.5000 0.5000 0.0000 x1
Pb 0.0000 0.5000 0.5000 x2

=====

Structure and calculated XRD peak list of Ti4VGa3 (a cell relaxed with GGA-PBE; copper Kα).
Kinematic intensities with the Lorentz-polarization factor, no thermal factor.

Most intense lines, 2θ from 15° to 90°, low angle first:
2θ = 28.77°, I = 4
2θ = 29.05°, I = 2
2θ = 40.30°, I = 100
2θ = 41.13°, I = 48
2θ = 57.02°, I = 8
2θ = 59.58°, I = 15
2θ = 72.69°, I = 15
2θ = 74.39°, I = 29
2θ = 87.09°, I = 9
2θ = 89.27°, I = 5

Cell and atoms:
abc: 4.3890 4.3890 12.9219
angles: 90.00 90.00 90.00
Space group I4/mmm (No. 139)
One atom of each set of equivalent atoms:
Ti 0.0000 0.5000 0.1217 x8
V 0.0000 0.0000 0.0000 x2
Ga 0.0000 0.0000 0.2429 x4
Ga 0.0000 0.0000 0.5000 x2

=====

Structure and calculated XRD peak list of K2CrAg (a cell relaxed with GGA-PBE; copper Kα).
Kinematic intensities with the Lorentz-polarization factor, no thermal factor.

Most intense lines, 2θ from 15° to 90°, low angle first:
2θ = 24.89°, I = 31
2θ = 26.56°, I = 55
2θ = 29.31°, I = 82
2θ = 33.10°, I = 100
2θ = 34.31°, I = 56
2θ = 35.59°, I = 85
2θ = 42.94°, I = 63
2θ = 47.51°, I = 34
2θ = 60.21°, I = 30
2θ = 60.75°, I = 36

Cell and atoms:
abc: 3.8274 3.8274 10.0694
angles: 90.00 90.00 90.00
Space group P4mm (No. 99)
One atom of each set of equivalent atoms:
K 0.0000 0.0000 0.0000 x1
K 0.5000 0.5000 0.4033 x1
Cr 0.5000 0.5000 0.7355 x1
Ag 0.0000 0.0000 0.6592 x1

=====

Structure and calculated XRD peak list of Ba4NaSm3O8 (a cell relaxed with GGA-PBE; copper Kα).
Kinematic intensities with the Lorentz-polarization factor, no thermal factor.

Most intense lines, 2θ from 15° to 90°, low angle first:
2θ = 28.56°, I = 34
2θ = 29.79°, I = 85
2θ = 34.18°, I = 100
2θ = 48.32°, I = 35
2θ = 49.91°, I = 33
2θ = 57.09°, I = 16
2θ = 58.51°, I = 28
2θ = 59.18°, I = 19
2θ = 61.88°, I = 17
2θ = 80.98°, I = 25

Cell and atoms:
abc: 7.3095 7.3095 18.7527
angles: 90.00 90.00 120.00
Space group R-3m (No. 166, hexagonal axes)
One atom of each set of equivalent atoms:
Ba 0.0000 0.0000 0.0000 x3
Ba 0.0000 0.5000 0.0000 x9
Na 0.0000 0.0000 0.5000 x3
Sm 0.0000 0.5000 0.5000 x9
O 0.0000 0.0000 0.2335 x6
O 0.0199 0.5100 0.7645 x18

=====

Structure and calculated XRD peak list of Ca4Ga3Ge (a cell relaxed with GGA-PBE; copper Kα).
Kinematic intensities with the Lorentz-polarization factor, no thermal factor.

Most intense lines, 2θ from 15° to 90°, low angle first:
2θ = 15.79°, I = 38
2θ = 21.36°, I = 41
2θ = 30.33°, I = 94
2θ = 31.15°, I = 32
2θ = 38.04°, I = 100
2θ = 38.66°, I = 46
2θ = 40.28°, I = 34
2θ = 43.34°, I = 28
2θ = 57.06°, I = 28
2θ = 60.65°, I = 19

Cell and atoms:
abc: 4.1751 4.4780 11.2249
angles: 90.00 90.00 90.00
Space group Pmm2 (No. 25)
One atom of each set of equivalent atoms:
Ca 0.0000 0.0000 0.0000 x1
Ca 0.0000 0.5000 0.4937 x1
Ca 0.5000 0.0000 0.7121 x1
Ca 0.5000 0.5000 0.2152 x1
Ga 0.0000 0.5000 0.7843 x1
Ga 0.5000 0.0000 0.4238 x1
Ga 0.5000 0.5000 0.9259 x1
Ge 0.0000 0.0000 0.2833 x1

=====

Structure and calculated XRD peak list of Na2PmSO4 (a cell relaxed with GGA-PBE; copper Kα).
Kinematic intensities with the Lorentz-polarization factor, no thermal factor.

Most intense lines, 2θ from 15° to 90°, low angle first:
2θ = 20.79°, I = 100
2θ = 21.74°, I = 37
2θ = 30.93°, I = 34
2θ = 35.84°, I = 84
2θ = 37.56°, I = 44
2θ = 42.30°, I = 30
2θ = 44.31°, I = 34
2θ = 56.20°, I = 14
2θ = 58.24°, I = 48
2θ = 75.97°, I = 20

Cell and atoms:
abc: 5.7817 5.7817 6.3427
angles: 90.00 90.00 90.00
Space group I-4 (No. 82)
One atom of each set of equivalent atoms:
Na 0.0000 0.0000 0.0000 x2
Na 0.0000 0.5000 0.2500 x2
Pm 0.0000 0.5000 0.7500 x2
S 0.0000 0.0000 0.5000 x2
O 0.1997 0.2589 0.5092 x8

=====

Structure and calculated XRD peak list of Zr2RuAu (a cell relaxed with GGA-PBE; copper Kα).
Kinematic intensities with the Lorentz-polarization factor, no thermal factor.

Most intense lines, 2θ from 15° to 90°, low angle first:
2θ = 17.05°, I = 18
2θ = 34.48°, I = 100
2θ = 34.57°, I = 64
2θ = 40.18°, I = 45
2θ = 40.61°, I = 47
2θ = 42.47°, I = 47
2θ = 42.74°, I = 44
2θ = 54.31°, I = 21
2θ = 54.52°, I = 20
2θ = 70.13°, I = 27

Cell and atoms:
abc: 3.3664 4.4435 5.4538
angles: 90.00 107.53 90.00
Space group Pm (No. 6)
One atom of each set of equivalent atoms:
Zr 0.0000 0.0000 0.0000 x1
Zr 0.2888 0.5000 0.5891 x1
Ru 0.7433 0.0000 0.4971 x1
Au 0.5640 0.5000 0.1326 x1